1.
Simulated XRD peak list
Compound: TlCoTcO4
Radiation: Cu Kα, 1.54184 Å
Structure: a crystal structure in Alexandria, relaxed with PBE+U
Kinematic intensities with the Lorentz-polarization factor, no thermal factor.

Cell lengths 5.456, 5.763, 7.386 Å; angles 90.00, 91.73, 90.00 degrees
Positions (direct):
Tl 0.216 0.250 0.137
Tl 0.784 0.750 0.863
Co 0.187 0.750 0.467
Co 0.813 0.250 0.533
Tc 0.316 0.250 0.669
Tc 0.684 0.750 0.331
O 0.104 0.501 0.668
O 0.104 0.999 0.668
O 0.369 0.750 0.227
O 0.448 0.250 0.437
O 0.552 0.750 0.563
O 0.631 0.250 0.773
O 0.896 0.001 0.332
O 0.896 0.499 0.332

Main lines, by angle (2θ from 5° to 70°):
| 2θ/deg | I/Imax |
| --- | --- |
| 22.44 | 72 |
| 25.76 | 42 |
| 28.74 | 100 |
| 29.63 | 22 |
| 31.04 | 43 |
| 32.83 | 33 |
| 42.84 | 21 |
| 44.77 | 21 |
| 45.81 | 19 |
| 52.05 | 17 |


2.
Simulated XRD peak list
Compound: Co3TeO8
Radiation: Cu Kα, 1.54184 Å
Structure: a crystal structure in Alexandria, relaxed with PBE+U
Kinematic intensities with the Lorentz-polarization factor, no thermal factor.

Cell lengths 5.699, 5.699, 9.027 Å; angles 90.00, 90.00, 120.00 degrees
Positions (direct):
Co 0.170 0.341 0.000
Co 0.170 0.830 0.000
Co 0.341 0.170 0.500
Co 0.659 0.830 0.000
Co 0.830 0.170 0.500
Co 0.830 0.659 0.500
Te 0.333 0.667 0.277
Te 0.667 0.333 0.777
O 0.000 0.000 0.087
O 0.000 0.000 0.587
O 0.032 0.516 0.122
O 0.161 0.322 0.379
O 0.161 0.839 0.379
O 0.322 0.161 0.879
O 0.333 0.667 0.897
O 0.484 0.516 0.122
O 0.484 0.968 0.122
O 0.516 0.032 0.622
O 0.516 0.484 0.622
O 0.667 0.333 0.397
O 0.678 0.839 0.379
O 0.839 0.161 0.879
O 0.839 0.678 0.879
O 0.968 0.484 0.622

Main lines, by angle (2θ from 5° to 70°):
| 2θ/deg | I/Imax |
| --- | --- |
| 20.51 | 100 |
| 26.77 | 30 |
| 34.92 | 35 |
| 37.32 | 44 |
| 37.80 | 33 |
| 41.72 | 14 |
| 47.66 | 27 |
| 58.19 | 18 |
| 63.89 | 25 |
| 65.52 | 22 |


3.
Simulated XRD peak list
Compound: Co3TeO8
Radiation: Cu Kα, 1.54184 Å
Structure: a crystal structure in Alexandria, relaxed with PBE+U
Kinematic intensities with the Lorentz-polarization factor, no thermal factor.

Cell lengths 6.032, 6.095, 8.439 Å; angles 92.86, 90.58, 90.98 degrees
Positions (direct):
Co 0.000 0.000 0.000
Co 0.000 0.500 0.500
Co 0.245 0.251 0.251
Co 0.500 0.000 0.000
Co 0.500 0.500 0.500
Co 0.755 0.749 0.749
Te 0.259 0.751 0.749
Te 0.741 0.249 0.251
O 0.008 0.957 0.767
O 0.025 0.527 0.728
O 0.247 0.313 0.474
O 0.253 0.187 0.027
O 0.276 0.772 0.981
O 0.283 0.728 0.517
O 0.489 0.981 0.774
O 0.493 0.463 0.273
O 0.507 0.537 0.727
O 0.511 0.019 0.226
O 0.717 0.272 0.483
O 0.724 0.228 0.019
O 0.747 0.813 0.973
O 0.753 0.687 0.526
O 0.975 0.473 0.272
O 0.992 0.043 0.233

Main lines, by angle (2θ from 5° to 70°):
| 2θ/deg | I/Imax |
| --- | --- |
| 17.54 | 100 |
| 34.77 | 13 |
| 35.43 | 12 |
| 35.51 | 6 |
| 35.87 | 10 |
| 41.80 | 14 |
| 42.58 | 13 |
| 42.93 | 13 |
| 55.60 | 5 |
| 60.55 | 7 |


4.
Simulated XRD peak list
Compound: Co4TeO8
Radiation: Cu Kα, 1.54184 Å
Structure: a crystal structure in Alexandria, relaxed with PBE+U
Kinematic intensities with the Lorentz-polarization factor, no thermal factor.

Cell lengths 5.928, 6.005, 6.014 Å; angles 92.93, 117.04, 118.98 degrees
Positions (direct):
Co 0.000 0.000 0.000
Co 0.000 0.000 0.500
Co 0.000 0.500 0.000
Co 0.500 0.500 0.000
Te 0.500 0.500 0.500
O 0.043 0.250 0.259
O 0.060 0.247 0.810
O 0.493 0.704 0.758
O 0.497 0.731 0.284
O 0.503 0.269 0.716
O 0.507 0.296 0.242
O 0.940 0.753 0.190
O 0.957 0.750 0.741

Main lines, by angle (2θ from 5° to 70°):
| 2θ/deg | I/Imax |
| --- | --- |
| 17.97 | 100 |
| 18.28 | 18 |
| 34.48 | 13 |
| 35.35 | 12 |
| 36.37 | 11 |
| 41.47 | 26 |
| 41.67 | 27 |
| 43.75 | 23 |
| 61.21 | 15 |
| 61.86 | 14 |


5.
Simulated XRD peak list
Compound: Co3TeO8
Radiation: Cu Kα, 1.54184 Å
Structure: a crystal structure in Alexandria, relaxed with PBE+U
Kinematic intensities with the Lorentz-polarization factor, no thermal factor.

Cell lengths 5.866, 5.866, 5.866 Å; angles 58.30, 58.30, 58.30 degrees
Positions (direct):
Co 0.000 0.500 0.500
Co 0.500 0.000 0.500
Co 0.500 0.500 0.000
Te 0.500 0.500 0.500
O 0.258 0.258 0.716
O 0.258 0.716 0.258
O 0.274 0.274 0.274
O 0.284 0.742 0.742
O 0.716 0.258 0.258
O 0.726 0.726 0.726
O 0.742 0.284 0.742
O 0.742 0.742 0.284

Main lines, by angle (2θ from 5° to 70°):
| 2θ/deg | I/Imax |
| --- | --- |
| 18.29 | 8 |
| 18.94 | 100 |
| 35.80 | 17 |
| 36.50 | 28 |
| 38.42 | 13 |
| 44.27 | 47 |
| 49.10 | 11 |
| 58.67 | 10 |
| 63.48 | 13 |
| 65.31 | 13 |


6.
Simulated XRD peak list
Compound: CoTe6O13
Radiation: Cu Kα, 1.54184 Å
Structure: a crystal structure in Alexandria, relaxed with PBE+U
Kinematic intensities with the Lorentz-polarization factor, no thermal factor.

Cell lengths 8.783, 8.783, 8.783 Å; angles 71.93, 71.93, 71.93 degrees
Positions (direct):
Co 0.243 0.243 0.243
Co 0.757 0.757 0.757
Te 0.031 0.324 0.921
Te 0.079 0.969 0.676
Te 0.166 0.559 0.488
Te 0.324 0.921 0.031
Te 0.441 0.512 0.834
Te 0.488 0.166 0.559
Te 0.512 0.834 0.441
Te 0.559 0.488 0.166
Te 0.676 0.079 0.969
Te 0.834 0.441 0.512
Te 0.921 0.031 0.324
Te 0.969 0.676 0.079
O 0.047 0.136 0.383
O 0.102 0.400 0.417
O 0.114 0.798 0.875
O 0.125 0.886 0.202
O 0.136 0.383 0.047
O 0.199 0.443 0.701
O 0.202 0.125 0.886
O 0.299 0.801 0.557
O 0.383 0.047 0.136
O 0.400 0.417 0.102
O 0.412 0.412 0.412
O 0.417 0.102 0.400
O 0.443 0.701 0.199
O 0.557 0.299 0.801
O 0.583 0.898 0.600
O 0.588 0.588 0.588
O 0.600 0.583 0.898
O 0.617 0.953 0.864
O 0.701 0.199 0.443
O 0.798 0.875 0.114
O 0.801 0.557 0.299
O 0.864 0.617 0.953
O 0.875 0.114 0.798
O 0.886 0.202 0.125
O 0.898 0.600 0.583
O 0.953 0.864 0.617

Main lines, by angle (2θ from 5° to 70°):
| 2θ/deg | I/Imax |
| --- | --- |
| 20.87 | 11 |
| 21.91 | 16 |
| 27.64 | 37 |
| 27.98 | 100 |
| 32.32 | 49 |
| 46.14 | 24 |
| 46.58 | 25 |
| 54.63 | 12 |
| 55.03 | 24 |
| 55.23 | 12 |


What did the third record say?
Simulated XRD peak list
Compound: Co3TeO8
Radiation: Cu Kα, 1.54184 Å
Structure: a crystal structure in Alexandria, relaxed with PBE+U
Kinematic intensities with the Lorentz-polarization factor, no thermal factor.

Cell lengths 6.032, 6.095, 8.439 Å; angles 92.86, 90.58, 90.98 degrees
Positions (direct):
Co 0.000 0.000 0.000
Co 0.000 0.500 0.500
Co 0.245 0.251 0.251
Co 0.500 0.000 0.000
Co 0.500 0.500 0.500
Co 0.755 0.749 0.749
Te 0.259 0.751 0.749
Te 0.741 0.249 0.251
O 0.008 0.957 0.767
O 0.025 0.527 0.728
O 0.247 0.313 0.474
O 0.253 0.187 0.027
O 0.276 0.772 0.981
O 0.283 0.728 0.517
O 0.489 0.981 0.774
O 0.493 0.463 0.273
O 0.507 0.537 0.727
O 0.511 0.019 0.226
O 0.717 0.272 0.483
O 0.724 0.228 0.019
O 0.747 0.813 0.973
O 0.753 0.687 0.526
O 0.975 0.473 0.272
O 0.992 0.043 0.233

Main lines, by angle (2θ from 5° to 70°):
| 2θ/deg | I/Imax |
| --- | --- |
| 17.54 | 100 |
| 34.77 | 13 |
| 35.43 | 12 |
| 35.51 | 6 |
| 35.87 | 10 |
| 41.80 | 14 |
| 42.58 | 13 |
| 42.93 | 13 |
| 55.60 | 5 |
| 60.55 | 7 |